Diffraction record for Li4CoC6O12. The powder diffraction line list is simulated, not measured: it uses the PBE+U geometry in OQMD and λ = 1.5418 Å (Cu Kα).

Structure:
Cell: 9.925 4.995 9.339 Å, 90.00 106.16 90.00°
Space group P2_1/c (No. 14)
Unique sites:
Li  0.114  0.000  0.278 x4
Li  0.234  0.008  0.922 x4
Co  0.500  0.000  0.500 x2
C  0.035  0.637  0.027 x4
C  0.306  0.115  0.665 x4
C  0.380  0.648  0.227 x4
O  0.003  0.746  0.135 x4
O  0.119  0.725  0.959 x4
O  0.221  0.211  0.729 x4
O  0.334  0.210  0.550 x4
O  0.355  0.747  0.342 x4
O  0.459  0.750  0.156 x4

Main lines, by angle (5 to 70 degrees two-theta):
hkl  d/Å  I (rel.)
1 0 0  9.532  1000
0 1 1  4.364  901
1 1 1  3.779  465
2 1 1  3.021  459
3 1 0  2.681  396
2 1 2  2.501  957